Diffraction record for Dy2YFe6CoNi2. The powder X-ray diffraction pattern is computed, not measured: it uses a cell relaxed with GGA-PBE and Cu Ka.

The 10 most intense peaks (2θ = 15–90°), in order of rising 2θ:
2theta	intensity
32.78	42
35.83	77
41.81	31
42.27	100
44.28	16
45.61	20
45.71	18
64.42	19
68.85	20
76.00	20

Structural model:
a = 8.7017 Å, b = 8.7017 Å, c = 8.7017 Å
α = 33.45°, β = 33.45°, γ = 33.45°
Atoms (fractional coordinates):
Dy (0.1418, 0.1418, 0.1418)
Dy (0.8582, 0.8582, 0.8582)
Y (0.0000, 0.0000, 0.0000)
Fe (0.0824, 0.5822, 0.5822)
Fe (0.4178, 0.4178, 0.9176)
Fe (0.4178, 0.9176, 0.4178)
Fe (0.5822, 0.0824, 0.5822)
Fe (0.5822, 0.5822, 0.0824)
Fe (0.9176, 0.4178, 0.4178)
Co (0.5000, 0.5000, 0.5000)
Ni (0.3326, 0.3326, 0.3326)
Ni (0.6674, 0.6674, 0.6674)

***

Diffraction record for Li2MgNiH6. The powder X-ray diffraction pattern is computed, not measured: it uses a cell relaxed with GGA-PBE and Cu Ka.

The 10 most intense peaks (2θ = 15–90°), in order of rising 2θ:
2theta	intensity
22.28	42
25.78	95
36.78	100
43.42	19
45.46	20
53.00	19
59.85	31
66.25	33
84.02	13
89.73	14

Structural model:
a = 4.8871 Å, b = 4.8871 Å, c = 4.8871 Å
α = 60.00°, β = 60.00°, γ = 60.00°
Atoms (fractional coordinates):
Li (0.2500, 0.2500, 0.2500)
Li (0.7500, 0.7500, 0.7500)
Mg (0.0000, 0.0000, 0.0000)
Ni (0.5000, 0.5000, 0.5000)
H (0.2698, 0.2698, 0.7302)
H (0.2698, 0.7302, 0.2698)
H (0.2698, 0.7302, 0.7302)
H (0.7302, 0.2698, 0.2698)
H (0.7302, 0.2698, 0.7302)
H (0.7302, 0.7302, 0.2698)

***

Diffraction record for LaNiSbAsPd. The powder X-ray diffraction pattern is computed, not measured: it uses a cell relaxed with GGA-PBE and Cu Ka.

The 10 most intense peaks (2θ = 15–90°), in order of rising 2θ:
2theta	intensity
28.11	14
33.49	100
33.60	49
40.18	71
41.50	15
46.38	16
50.15	15
53.35	26
58.13	24
68.79	30

Structural model:
a = 4.4887 Å, b = 4.4887 Å, c = 9.9498 Å
α = 90.00°, β = 90.00°, γ = 90.00°
Atoms (fractional coordinates):
La (0.2500, 0.2500, 0.2318)
La (0.7500, 0.7500, 0.7682)
Ni (0.2500, 0.2500, 0.9040)
Ni (0.7500, 0.7500, 0.0960)
Sb (0.2500, 0.2500, 0.6487)
Sb (0.7500, 0.7500, 0.3513)
As (0.2500, 0.7500, 0.0000)
As (0.7500, 0.2500, 0.0000)
Pd (0.2500, 0.7500, 0.5000)
Pd (0.7500, 0.2500, 0.5000)

***

Diffraction record for KTbAg3S4. The powder X-ray diffraction pattern is computed, not measured: it uses a cell relaxed with GGA-PBE and Cu Ka.

The 10 most intense peaks (2θ = 15–90°), in order of rising 2θ:
2theta	intensity
25.28	50
28.03	62
28.87	69
29.58	100
31.26	53
31.96	55
33.18	60
37.03	90
40.90	85
42.67	71

Structural model:
a = 6.2018 Å, b = 7.5126 Å, c = 10.4457 Å
α = 90.00°, β = 103.33°, γ = 90.00°
Atoms (fractional coordinates):
K (0.2307, 0.2500, 0.1255)
K (0.7693, 0.7500, 0.8745)
Tb (0.3842, 0.2500, 0.7002)
Tb (0.6158, 0.7500, 0.2998)
Ag (0.0709, 0.7500, 0.2112)
Ag (0.2115, 0.5558, 0.4671)
Ag (0.2115, 0.9442, 0.4671)
Ag (0.7885, 0.0558, 0.5329)
Ag (0.7885, 0.4442, 0.5329)
Ag (0.9291, 0.2500, 0.7888)
S (0.1198, 0.5167, 0.7153)
S (0.1198, 0.9833, 0.7153)
S (0.3275, 0.7500, 0.0742)
S (0.4482, 0.2500, 0.4515)
S (0.5518, 0.7500, 0.5485)
S (0.6725, 0.2500, 0.9258)
S (0.8802, 0.0167, 0.2847)
S (0.8802, 0.4833, 0.2847)

***

Diffraction record for HoBiSbIO4. The powder X-ray diffraction pattern is computed, not measured: it uses a cell relaxed with GGA-PBE and Cu Ka.

The 10 most intense peaks (2θ = 15–90°), in order of rising 2θ:
2theta	intensity
30.19	100
32.83	32
39.02	10
47.11	18
51.89	24
56.98	33
62.78	10
65.28	10
76.97	7
84.34	10

Structural model:
a = 3.8579 Å, b = 3.8579 Å, c = 9.2324 Å
α = 90.00°, β = 90.00°, γ = 90.00°
Atoms (fractional coordinates):
Ho (0.0000, 0.0000, 0.0000)
Bi (0.5000, 0.5000, 0.7331)
Sb (0.5000, 0.5000, 0.2608)
I (0.0000, 0.0000, 0.5025)
O (0.0000, 0.5000, 0.1546)
O (0.0000, 0.5000, 0.8592)
O (0.5000, 0.0000, 0.1546)
O (0.5000, 0.0000, 0.8592)

***

Diffraction record for Sm11Sn10. The powder X-ray diffraction pattern is computed, not measured: it uses a cell relaxed with GGA-PBE and Cu Ka.

The 10 most intense peaks (2θ = 15–90°), in order of rising 2θ:
2theta	intensity
30.20	32
30.71	100
31.29	95
31.51	49
31.93	51
32.08	67
33.72	23
34.33	63
41.17	25
46.00	21

Structural model:
a = 12.0872 Å, b = 12.0872 Å, c = 12.0872 Å
α = 121.35°, β = 121.35°, γ = 87.67°
Atoms (fractional coordinates):
Sm (0.0599, 0.3108, 0.7491)
Sm (0.1022, 0.4323, 0.3301)
Sm (0.1022, 0.7722, 0.6699)
Sm (0.1653, 0.1653, 0.0000)
Sm (0.2278, 0.8978, 0.3301)
Sm (0.3108, 0.0599, 0.7491)
Sm (0.3108, 0.5616, 0.2509)
Sm (0.3254, 0.3254, 0.6509)
Sm (0.3254, 0.6746, 0.0000)
Sm (0.4323, 0.1022, 0.3301)
Sm (0.4384, 0.6892, 0.7491)
Sm (0.5616, 0.3108, 0.2509)
Sm (0.5677, 0.8978, 0.6699)
Sm (0.6746, 0.3254, 0.0000)
Sm (0.6746, 0.6746, 0.3491)
Sm (0.6892, 0.4384, 0.7491)
Sm (0.6892, 0.9401, 0.2509)
Sm (0.7722, 0.1022, 0.6699)
Sm (0.8347, 0.8347, 0.0000)
Sm (0.8978, 0.2278, 0.3301)
Sm (0.8978, 0.5677, 0.6699)
Sm (0.9401, 0.6892, 0.2509)
Sn (0.0302, 0.0302, 0.4135)
Sn (0.0302, 0.6167, 0.0000)
Sn (0.1280, 0.1280, 0.2560)
Sn (0.1280, 0.8720, 0.0000)
Sn (0.1430, 0.5000, 0.6430)
Sn (0.2500, 0.7500, 0.5000)
Sn (0.3833, 0.3833, 0.4135)
Sn (0.3833, 0.9698, 0.0000)
Sn (0.3906, 0.3906, 0.0000)
Sn (0.5000, 0.1430, 0.6430)
Sn (0.5000, 0.8570, 0.3570)
Sn (0.6094, 0.6094, 0.0000)
Sn (0.6167, 0.0302, 0.0000)
Sn (0.6167, 0.6167, 0.5865)
Sn (0.7500, 0.2500, 0.5000)
Sn (0.8570, 0.5000, 0.3570)
Sn (0.8720, 0.1280, 0.0000)
Sn (0.8720, 0.8720, 0.7440)
Sn (0.9698, 0.3833, 0.0000)
Sn (0.9698, 0.9698, 0.5865)